The following is a calculated powder X-ray diffraction pattern of SrBeF4. It was derived from a PBE-relaxed structure, using Cu Kα.
No peak broadening, texture or thermal motion is included.

Principal peaks in the range 5 to 70 degrees two-theta, by intensity:
d_spacing  intensity  (hkl)
2.997  100  1 2 0
3.765  96  1 1 -2
4.350  90  1 0 0
3.300  75  1 2 -1
2.183  73  2 2 -1
2.048  63  2 1 -4
1.980  59  0 4 1
2.073  58  1 1 2
1.991  57  1 3 -3
3.182  57  0 1 2

```
data_SrBeF4
_cell_length_a 5.478
_cell_length_b 8.269
_cell_length_c 8.683
_cell_angle_alpha 90.00
_cell_angle_beta 127.44
_cell_angle_gamma 90.00
_space_group_name_H-M_alt 'P 1'
_space_group_IT_number 1
loop_
_space_group_symop_operation_xyz
'x,y,z'
loop_
_atom_site_label
_atom_site_fract_x
_atom_site_fract_y
_atom_site_fract_z
Sr1 0.020 0.194 0.328
Sr2 0.020 0.306 0.828
Sr3 0.980 0.694 0.172
Sr4 0.980 0.806 0.672
Be1 0.426 0.543 0.682
Be2 0.426 0.957 0.182
Be3 0.574 0.043 0.818
Be4 0.574 0.457 0.318
F1 0.220 0.085 0.679
F2 0.220 0.415 0.179
F3 0.239 0.680 0.530
F4 0.239 0.820 0.030
F5 0.290 0.537 0.797
F6 0.290 0.963 0.297
F7 0.407 0.124 0.094
F8 0.407 0.376 0.594
F9 0.593 0.624 0.406
F10 0.593 0.876 0.906
F11 0.710 0.037 0.703
F12 0.710 0.463 0.203
F13 0.761 0.180 0.970
F14 0.761 0.320 0.470
F15 0.780 0.585 0.821
F16 0.780 0.915 0.321
```

The following is a calculated powder X-ray diffraction pattern of BeTl2F4. It was derived from a PBE-relaxed structure, using Cu Kα.
No peak broadening, texture or thermal motion is included.

Principal peaks in the range 5 to 70 degrees two-theta, by intensity:
d_spacing  intensity  (hkl)
3.115  100  2 1 1
3.538  96  1 1 2
3.057  89  0 1 3
2.956  69  0 2 0
2.528  64  3 0 1
4.313  62  1 1 1
1.779  51  3 1 4
3.250  48  1 0 3
1.921  42  3 2 1
3.153  41  2 0 2

```
data_BeTl2F4
_cell_length_a 7.800
_cell_length_b 5.912
_cell_length_c 10.712
_cell_angle_alpha 90.00
_cell_angle_beta 90.00
_cell_angle_gamma 90.00
_space_group_name_H-M_alt 'P 1'
_space_group_IT_number 1
loop_
_space_group_symop_operation_xyz
'x,y,z'
loop_
_atom_site_label
_atom_site_fract_x
_atom_site_fract_y
_atom_site_fract_z
Be1 0.230 0.250 0.077
Be2 0.270 0.750 0.577
Be3 0.730 0.250 0.423
Be4 0.770 0.750 0.923
Tl1 0.009 0.750 0.195
Tl2 0.168 0.250 0.417
Tl3 0.332 0.750 0.917
Tl4 0.491 0.250 0.695
Tl5 0.509 0.750 0.305
Tl6 0.668 0.250 0.083
Tl7 0.832 0.750 0.583
Tl8 0.991 0.250 0.805
F1 0.029 0.250 0.082
F2 0.197 0.531 0.641
F3 0.197 0.969 0.641
F4 0.205 0.750 0.437
F5 0.295 0.250 0.937
F6 0.303 0.031 0.141
F7 0.303 0.469 0.141
F8 0.471 0.750 0.582
F9 0.529 0.250 0.418
F10 0.697 0.531 0.859
F11 0.697 0.969 0.859
F12 0.705 0.750 0.063
F13 0.795 0.250 0.563
F14 0.803 0.031 0.359
F15 0.803 0.469 0.359
F16 0.971 0.750 0.918
```

Repeat the first record exactly.
The following is a calculated powder X-ray diffraction pattern of SrBeF4. It was derived from a PBE-relaxed structure, using Cu Kα.
No peak broadening, texture or thermal motion is included.

Principal peaks in the range 5 to 70 degrees two-theta, by intensity:
d_spacing  intensity  (hkl)
2.997  100  1 2 0
3.765  96  1 1 -2
4.350  90  1 0 0
3.300  75  1 2 -1
2.183  73  2 2 -1
2.048  63  2 1 -4
1.980  59  0 4 1
2.073  58  1 1 2
1.991  57  1 3 -3
3.182  57  0 1 2

```
data_SrBeF4
_cell_length_a 5.478
_cell_length_b 8.269
_cell_length_c 8.683
_cell_angle_alpha 90.00
_cell_angle_beta 127.44
_cell_angle_gamma 90.00
_space_group_name_H-M_alt 'P 1'
_space_group_IT_number 1
loop_
_space_group_symop_operation_xyz
'x,y,z'
loop_
_atom_site_label
_atom_site_fract_x
_atom_site_fract_y
_atom_site_fract_z
Sr1 0.020 0.194 0.328
Sr2 0.020 0.306 0.828
Sr3 0.980 0.694 0.172
Sr4 0.980 0.806 0.672
Be1 0.426 0.543 0.682
Be2 0.426 0.957 0.182
Be3 0.574 0.043 0.818
Be4 0.574 0.457 0.318
F1 0.220 0.085 0.679
F2 0.220 0.415 0.179
F3 0.239 0.680 0.530
F4 0.239 0.820 0.030
F5 0.290 0.537 0.797
F6 0.290 0.963 0.297
F7 0.407 0.124 0.094
F8 0.407 0.376 0.594
F9 0.593 0.624 0.406
F10 0.593 0.876 0.906
F11 0.710 0.037 0.703
F12 0.710 0.463 0.203
F13 0.761 0.180 0.970
F14 0.761 0.320 0.470
F15 0.780 0.585 0.821
F16 0.780 0.915 0.321
```